Starting from DFT lattice parameters and positions (GGA-PBE), the powder diffraction line list of Pm2MgPt9 was simulated for CuKα.
Neutral-atom scattering factors, no anomalous dispersion.

Atomic structure:
```
Pm2MgPt9
1.0
2.713 1.566 8.882
-2.713 1.566 8.882
0.000 -3.133 8.882
Pm Mg Pt
2 1 9
Direct
0.137 0.137 0.137
0.863 0.863 0.863
0.000 0.000 0.000
0.080 0.586 0.586
0.333 0.333 0.333
0.414 0.414 0.920
0.414 0.920 0.414
0.500 0.500 0.500
0.586 0.080 0.586
0.586 0.586 0.080
0.667 0.667 0.667
0.920 0.414 0.414
```

The 10 most intense peaks (2θ from 10° to 90°), sorted by position:
d/Å  I/Imax
4.627  47
2.715  25
2.340  24
2.315  100
2.218  46
2.151  90
1.999  26
1.477  23
1.356  27
1.157  22